No. 1
Diffraction record for MnAl2Rh3. The PXRD pattern is calculated, not measured: it uses a DFT-relaxed cell (GGA-PBE, Alexandria) and Cu Kα.
Intensities are scaled so that the largest is 100.

Most intense lines, 2θ = 15–90°, most intense first:
| Position (°2θ) | I (rel.) |
| --- | --- |
| 42.26 | 100 |
| 42.43 | 50 |
| 77.50 | 32 |
| 29.65 | 32 |
| 61.56 | 16 |
| 29.42 | 16 |
| 77.15 | 16 |
| 52.47 | 13 |
| 61.04 | 8 |
| 69.80 | 5 |

```
MnAl2Rh3
1.0
3.013 0.000 0.000
0.000 3.013 0.000
0.000 0.000 9.109
Mn Al Rh
1 2 3
Direct
0.000 0.000 0.000 Mn
0.000 0.000 0.332 Al
0.000 0.000 0.668 Al
0.500 0.500 0.175 Rh
0.500 0.500 0.500 Rh
0.500 0.500 0.825 Rh
```

No. 2
Diffraction record for SrAsH. The PXRD pattern is calculated, not measured: it uses a DFT-relaxed cell (GGA-PBE, Alexandria) and Cu Kα.
Intensities are scaled so that the largest is 100.

Most intense lines, 2θ = 15–90°, most intense first:
| Position (°2θ) | I (rel.) |
| --- | --- |
| 27.76 | 100 |
| 37.53 | 46 |
| 41.69 | 32 |
| 47.31 | 23 |
| 61.90 | 20 |
| 67.73 | 17 |
| 70.53 | 9 |
| 57.29 | 8 |
| 86.73 | 8 |
| 80.09 | 5 |

```
SrAsH
1.0
4.377 0.000 0.000
0.000 4.795 0.000
-0.881 0.000 6.421
Sr As H
2 2 2
Direct
0.240 0.250 0.254 Sr
0.760 0.750 0.746 Sr
0.269 0.250 0.762 As
0.731 0.750 0.238 As
0.042 0.750 0.391 H
0.958 0.250 0.609 H
```

No. 3
Diffraction record for Sc4SCl5. The PXRD pattern is calculated, not measured: it uses a DFT-relaxed cell (GGA-PBE, Alexandria) and Cu Kα.
Intensities are scaled so that the largest is 100.

Most intense lines, 2θ = 15–90°, most intense first:
| Position (°2θ) | I (rel.) |
| --- | --- |
| 34.22 | 100 |
| 33.91 | 48 |
| 48.88 | 44 |
| 48.98 | 29 |
| 49.51 | 16 |
| 61.36 | 14 |
| 72.08 | 8 |
| 18.34 | 7 |
| 30.53 | 7 |
| 60.71 | 6 |

```
Sc4SCl5
1.0
8.142 -1.841 0.000
8.142 1.841 0.000
-1.693 0.000 7.266
Sc S Cl
4 1 5
Direct
0.000 0.000 0.219 Sc
0.000 0.000 0.781 Sc
0.350 0.350 0.920 Sc
0.650 0.650 0.080 Sc
0.500 0.500 0.000 S
0.164 0.164 0.329 Cl
0.173 0.173 0.841 Cl
0.500 0.500 0.500 Cl
0.827 0.827 0.159 Cl
0.836 0.836 0.671 Cl
```

No. 4
Diffraction record for La3Y5Tm2. The PXRD pattern is calculated, not measured: it uses a DFT-relaxed cell (GGA-PBE, Alexandria) and Cu Kα.
Intensities are scaled so that the largest is 100.

Most intense lines, 2θ = 15–90°, most intense first:
| Position (°2θ) | I (rel.) |
| --- | --- |
| 30.73 | 100 |
| 29.68 | 75 |
| 33.14 | 45 |
| 32.03 | 31 |
| 36.69 | 26 |
| 19.64 | 21 |
| 43.96 | 18 |
| 21.56 | 18 |
| 48.90 | 17 |
| 57.08 | 11 |

```
La3Y5Tm2
1.0
5.407 -8.242 0.000
5.407 8.242 0.000
-5.380 0.000 7.602
La Y Tm
6 10 4
Direct
0.016 0.270 0.045 La
0.233 0.767 0.750 La
0.270 0.016 0.545 La
0.730 0.984 0.455 La
0.767 0.233 0.250 La
0.984 0.730 0.955 La
0.027 0.973 0.750 Y
0.150 0.375 0.770 Y
0.275 0.725 0.250 Y
0.375 0.150 0.270 Y
0.470 0.530 0.250 Y
0.530 0.470 0.750 Y
0.625 0.850 0.730 Y
0.725 0.275 0.750 Y
0.850 0.625 0.230 Y
0.973 0.027 0.250 Y
0.234 0.467 0.457 Tm
0.467 0.234 0.957 Tm
0.533 0.766 0.043 Tm
0.766 0.533 0.543 Tm
```

No. 5
Diffraction record for Dy5In4Pd2. The PXRD pattern is calculated, not measured: it uses a DFT-relaxed cell (GGA-PBE, Alexandria) and Cu Kα.
Intensities are scaled so that the largest is 100.

Most intense lines, 2θ = 15–90°, most intense first:
| Position (°2θ) | I (rel.) |
| --- | --- |
| 34.50 | 100 |
| 33.29 | 92 |
| 36.22 | 74 |
| 36.50 | 50 |
| 34.72 | 44 |
| 31.38 | 37 |
| 49.87 | 31 |
| 63.12 | 31 |
| 36.98 | 25 |
| 57.56 | 18 |

```
Dy5In4Pd2
1.0
8.082 0.000 0.000
0.000 18.259 0.000
0.000 0.000 3.657
Dy In Pd
10 8 4
Direct
0.000 0.000 0.000 Dy
0.117 0.417 0.000 Dy
0.243 0.219 0.000 Dy
0.257 0.719 0.000 Dy
0.383 0.917 0.000 Dy
0.500 0.500 0.000 Dy
0.617 0.083 0.000 Dy
0.743 0.281 0.000 Dy
0.757 0.781 0.000 Dy
0.883 0.583 0.000 Dy
0.077 0.851 0.500 In
0.209 0.568 0.500 In
0.291 0.068 0.500 In
0.423 0.351 0.500 In
0.577 0.649 0.500 In
0.709 0.932 0.500 In
0.791 0.432 0.500 In
0.923 0.149 0.500 In
0.028 0.304 0.500 Pd
0.472 0.804 0.500 Pd
0.528 0.196 0.500 Pd
0.972 0.696 0.500 Pd
```

No. 6
Diffraction record for Rb2Y3Cl10. The PXRD pattern is calculated, not measured: it uses a DFT-relaxed cell (GGA-PBE, Alexandria) and Cu Kα.
Intensities are scaled so that the largest is 100.

Most intense lines, 2θ = 15–90°, most intense first:
| Position (°2θ) | I (rel.) |
| --- | --- |
| 31.89 | 100 |
| 20.60 | 82 |
| 21.10 | 67 |
| 29.81 | 51 |
| 48.01 | 50 |
| 20.95 | 41 |
| 17.90 | 38 |
| 30.72 | 34 |
| 41.55 | 30 |
| 39.12 | 29 |

```
Rb2Y3Cl10
1.0
12.636 -3.764 0.000
12.636 3.764 0.000
-3.950 0.000 9.908
Rb Y Cl
4 6 20
Direct
0.119 0.119 0.227 Rb
0.224 0.224 0.848 Rb
0.776 0.776 0.152 Rb
0.881 0.881 0.773 Rb
0.242 0.758 0.500 Y
0.320 0.320 0.472 Y
0.422 0.422 0.024 Y
0.578 0.578 0.976 Y
0.680 0.680 0.528 Y
0.758 0.242 0.500 Y
0.000 0.500 0.500 Cl
0.015 0.015 0.696 Cl
0.102 0.602 0.013 Cl
0.121 0.654 0.460 Cl
0.266 0.734 0.000 Cl
0.267 0.267 0.217 Cl
0.346 0.879 0.540 Cl
0.375 0.375 0.746 Cl
0.398 0.898 0.987 Cl
0.476 0.476 0.295 Cl
0.500 0.000 0.500 Cl
0.524 0.524 0.705 Cl
0.602 0.102 0.013 Cl
0.625 0.625 0.254 Cl
0.654 0.121 0.460 Cl
0.733 0.733 0.783 Cl
0.734 0.266 0.000 Cl
0.879 0.346 0.540 Cl
0.898 0.398 0.987 Cl
0.985 0.985 0.304 Cl
```

No. 7
Diffraction record for AcHoHg4. The PXRD pattern is calculated, not measured: it uses a DFT-relaxed cell (GGA-PBE, Alexandria) and Cu Kα.
Intensities are scaled so that the largest is 100.

Most intense lines, 2θ = 15–90°, most intense first:
| Position (°2θ) | I (rel.) |
| --- | --- |
| 32.07 | 100 |
| 35.46 | 58 |
| 35.30 | 30 |
| 48.46 | 23 |
| 63.21 | 22 |
| 61.61 | 11 |
| 63.11 | 11 |
| 50.49 | 11 |
| 63.47 | 11 |
| 61.33 | 10 |

```
AcHoHg4
1.0
3.615 0.000 0.000
0.000 5.085 0.000
0.000 0.000 8.757
Ac Ho Hg
1 1 4
Direct
0.000 0.000 0.000 Ac
0.000 0.500 0.500 Ho
0.500 0.000 0.340 Hg
0.500 0.000 0.660 Hg
0.500 0.500 0.178 Hg
0.500 0.500 0.822 Hg
```

No. 8
Diffraction record for GaSbH2. The PXRD pattern is calculated, not measured: it uses a DFT-relaxed cell (GGA-PBE, Alexandria) and Cu Kα.
Intensities are scaled so that the largest is 100.

Most intense lines, 2θ = 15–90°, most intense first:
| Position (°2θ) | I (rel.) |
| --- | --- |
| 19.40 | 100 |
| 40.85 | 85 |
| 34.65 | 71 |
| 29.23 | 58 |
| 29.07 | 54 |
| 32.48 | 51 |
| 37.53 | 47 |
| 33.13 | 45 |
| 35.88 | 43 |
| 33.43 | 42 |

```
GaSbH2
1.0
3.226 0.000 0.000
-0.019 5.178 0.000
-0.091 -0.008 9.770
Ga Sb H
2 2 4
Direct
0.000 0.000 0.000 Ga
0.494 0.500 0.868 Ga
0.002 0.500 0.117 Sb
0.492 0.999 0.751 Sb
0.505 0.997 0.413 H
0.524 0.993 0.336 H
0.965 0.494 0.530 H
0.994 0.497 0.454 H
```

> What is the formula in the seventh record?

AcHoHg4